[1]
Diffraction record for Zn3In2O6. The PXRD pattern is calculated, not measured: it uses a PBE-relaxed structure and λ = 1.5418 Å (Cu Kα).
Kinematic intensities with the Lorentz-polarization factor, no thermal factor.

Peak list (6 most intense, 5° ≤ 2θ ≤ 70°, by intensity)
- d 2.590, I = 100, (1 2 2)
- d 2.942, I = 88, (2 0 0)
- d 2.889, I = 80, (0 0 5)
- d 2.664, I = 75, (1 2 -3)
- d 1.702, I = 74, (3 2 -1)
- d 2.658, I = 38, (2 0 2)

Structure:
```
data_Zn3In2O6
_space_group_name_H-M_alt 'P 1'
_space_group_IT_number 1
_cell_length_a 5.8926
_cell_length_b 6.8153
_cell_length_c 14.5763
_cell_angle_alpha 96.62
_cell_angle_beta 94.00
_cell_angle_gamma 90.04
loop_
_space_group_symop_operation_xyz
'x,y,z'
loop_
_atom_site_label
_atom_site_type_symbol
_atom_site_fract_x
_atom_site_fract_y
_atom_site_fract_z
Zn1 Zn 0.0000 0.0000 0.0000
Zn2 Zn 0.0000 0.4885 0.9903
Zn3 Zn 0.2397 0.3477 0.4197
Zn4 Zn 0.2436 0.8479 0.4232
Zn5 Zn 0.2993 0.4428 0.8014
Zn6 Zn 0.3022 0.9416 0.8073
Zn7 Zn 0.4375 0.1508 0.5975
Zn8 Zn 0.4983 0.2400 0.9921
Zn9 Zn 0.7394 0.0990 0.4185
Zn10 Zn 0.7388 0.5966 0.4218
Zn11 Zn 0.8056 0.6991 0.8084
Zn12 Zn 0.9399 0.3846 0.5963
In1 In 0.3678 0.5426 0.2086
In2 In 0.3697 0.0482 0.2118
In3 In 0.4388 0.6364 0.6189
In4 In 0.4997 0.7415 0.9920
In5 In 0.7978 0.1995 0.8029
In6 In 0.8679 0.2964 0.2070
In7 In 0.8746 0.7942 0.2111
In8 In 0.9393 0.9037 0.6147
O1 O 0.0217 0.5283 0.1325
O2 O 0.0263 0.0261 0.1371
O3 O 0.2141 0.3156 0.2821
O4 O 0.2187 0.8114 0.2845
O5 O 0.2623 0.3849 0.6389
O6 O 0.2909 0.9121 0.6293
O7 O 0.3157 0.9855 0.9552
O8 O 0.3264 0.4770 0.9579
O9 O 0.4128 0.6058 0.4649
O10 O 0.4153 0.1090 0.4574
O11 O 0.4516 0.1915 0.8022
O12 O 0.4687 0.6891 0.7833
O13 O 0.5226 0.2751 0.1333
O14 O 0.5243 0.7783 0.1375
O15 O 0.7145 0.5640 0.2832
O16 O 0.7167 0.0626 0.2813
O17 O 0.7645 0.1698 0.6410
O18 O 0.7894 0.6356 0.6302
O19 O 0.8267 0.2285 0.9574
O20 O 0.8367 0.7411 0.9565
O21 O 0.9119 0.8609 0.4631
O22 O 0.9137 0.3551 0.4569
O23 O 0.9690 0.9313 0.7747
O24 O 0.9743 0.4582 0.8074
```

[2]
Diffraction record for ZnInO. The PXRD pattern is calculated, not measured: it uses a PBE-relaxed structure and λ = 1.5418 Å (Cu Kα).
Kinematic intensities with the Lorentz-polarization factor, no thermal factor.

Peak list (6 most intense, 5° ≤ 2θ ≤ 70°, by intensity)
- d 2.553, I = 100, (1 1 1)
- d 2.883, I = 47, (0 2 0)
- d 2.799, I = 29, (0 0 2)
- d 2.518, I = 25, (0 1 2)
- d 2.848, I = 24, (1 0 1)
- d 1.593, I = 21, (1 3 1)

Structure:
```
data_ZnInO
_space_group_name_H-M_alt 'P m n 21'
_space_group_IT_number 31
_cell_length_a 3.3080
_cell_length_b 5.7654
_cell_length_c 5.5983
_cell_angle_alpha 90.00
_cell_angle_beta 90.00
_cell_angle_gamma 90.00
loop_
_space_group_symop_operation_xyz
'x,y,z'
'-x+1/2,-y,z+1/2'
'-x,y,z'
'x+1/2,-y,z+1/2'
loop_
_atom_site_label
_atom_site_type_symbol
_atom_site_fract_x
_atom_site_fract_y
_atom_site_fract_z
Zn1 Zn 0.0000 0.0441 0.0000
In1 In 0.0000 0.4947 0.3824
O1 O 0.0000 0.0838 0.3533
```

[3]
Diffraction record for In4Os3. The PXRD pattern is calculated, not measured: it uses a PBE-relaxed structure and λ = 1.5418 Å (Cu Kα).
Kinematic intensities with the Lorentz-polarization factor, no thermal factor.

Peak list (6 most intense, 5° ≤ 2θ ≤ 70°, by intensity)
- d 2.136, I = 100, (2 0 1)
- d 2.289, I = 77, (1 0 2)
- d 2.338, I = 65, (2 0 0)
- d 2.401, I = 54, (1 1 1)
- d 5.251, I = 38, (0 0 1)
- d 1.466, I = 37, (2 1 2)

Structure:
```
data_In4Os3
_space_group_name_H-M_alt 'P 6/m m m'
_space_group_IT_number 191
_space_group_name_Hall '-P 6 2'
_cell_length_a 5.3988
_cell_length_b 5.3988
_cell_length_c 5.2510
_cell_angle_alpha 90.00
_cell_angle_beta 90.00
_cell_angle_gamma 120.00
loop_
_atom_site_label
_atom_site_type_symbol
_atom_site_fract_x
_atom_site_fract_y
_atom_site_fract_z
In1 In 0.0000 0.0000 0.2497
In2 In 0.3333 0.6667 0.0000
Os1 Os 0.0000 0.5000 0.5000
```

[4]
Diffraction record for In5Os4. The PXRD pattern is calculated, not measured: it uses a PBE-relaxed structure and λ = 1.5418 Å (Cu Kα).
Kinematic intensities with the Lorentz-polarization factor, no thermal factor.

Peak list (6 most intense, 5° ≤ 2θ ≤ 70°, by intensity)
- d 2.336, I = 100, (3 0 0)
- d 1.349, I = 19, (3 3 0)
- d 1.652, I = 15, (2 2 2)
- d 2.405, I = 12, (2 1 1)
- d 3.304, I = 5, (1 1 1)
- d 1.841, I = 5, (3 1 1)

Structure:
```
data_In5Os4
_space_group_name_H-M_alt 'P 63/m c m'
_space_group_IT_number 193
_space_group_name_Hall '-P 6c 2'
_cell_length_a 8.0967
_cell_length_b 8.0967
_cell_length_c 5.7184
_cell_angle_alpha 90.00
_cell_angle_beta 90.00
_cell_angle_gamma 120.00
loop_
_atom_site_label
_atom_site_type_symbol
_atom_site_fract_x
_atom_site_fract_y
_atom_site_fract_z
In1 In 0.0000 0.2957 0.2500
In2 In 0.3333 0.6667 0.0000
Os1 Os 0.0000 0.0000 0.0000
Os2 Os 0.0000 0.3662 0.7500
```

[5]
Diffraction record for In4Os. The PXRD pattern is calculated, not measured: it uses a PBE-relaxed structure and λ = 1.5418 Å (Cu Kα).
Kinematic intensities with the Lorentz-polarization factor, no thermal factor.

Peak list (6 most intense, 5° ≤ 2θ ≤ 70°, by intensity)
- d 2.221, I = 100, (2 2 0)
- d 4.442, I = 49, (1 1 0)
- d 3.141, I = 25, (2 0 0)
- d 2.564, I = 25, (2 1 1)
- d 1.570, I = 16, (4 0 0)
- d 1.679, I = 14, (3 2 1)

Structure:
```
data_In4Os
_space_group_name_H-M_alt 'I m -3 m'
_space_group_IT_number 229
_space_group_name_Hall '-I 4 2 3'
_cell_length_a 6.2816
_cell_length_b 6.2816
_cell_length_c 6.2816
_cell_angle_alpha 90.00
_cell_angle_beta 90.00
_cell_angle_gamma 90.00
loop_
_atom_site_label
_atom_site_type_symbol
_atom_site_fract_x
_atom_site_fract_y
_atom_site_fract_z
In1 In 0.2500 0.2500 0.2500
Os1 Os 0.0000 0.0000 0.0000
```

[6]
Diffraction record for VInOs2Pd. The PXRD pattern is calculated, not measured: it uses a PBE-relaxed structure and λ = 1.5418 Å (Cu Kα).
Kinematic intensities with the Lorentz-polarization factor, no thermal factor.

Peak list (6 most intense, 5° ≤ 2θ ≤ 70°, by intensity)
- d 2.657, I = 100, (1 1 1)
- d 2.222, I = 42, (2 0 0)
- d 1.658, I = 34, (2 0 2)
- d 2.490, I = 29, (0 0 2)
- d 1.352, I = 25, (3 1 1)
- d 1.468, I = 16, (1 1 3)

Structure:
```
data_VInOs2Pd
_space_group_name_H-M_alt 'P 4/m m m'
_space_group_IT_number 123
_space_group_name_Hall '-P 4 2'
_cell_length_a 4.4431
_cell_length_b 4.4431
_cell_length_c 4.9801
_cell_angle_alpha 90.00
_cell_angle_beta 90.00
_cell_angle_gamma 90.00
loop_
_atom_site_label
_atom_site_type_symbol
_atom_site_fract_x
_atom_site_fract_y
_atom_site_fract_z
V1 V 0.0000 0.0000 0.0000
In1 In 0.0000 0.0000 0.5000
Os1 Os 0.0000 0.5000 0.0000
Pd1 Pd 0.5000 0.5000 0.5000
```

[7]
Diffraction record for Pm5In2Os. The PXRD pattern is calculated, not measured: it uses a PBE-relaxed structure and λ = 1.5418 Å (Cu Kα).
Kinematic intensities with the Lorentz-polarization factor, no thermal factor.

Peak list (6 most intense, 5° ≤ 2θ ≤ 70°, by intensity)
- d 2.970, I = 100, (2 1 1)
- d 2.744, I = 93, (2 2 1)
- d 2.395, I = 65, (0 0 2)
- d 2.894, I = 53, (1 4 0)
- d 2.607, I = 45, (0 4 1)
- d 2.915, I = 40, (1 3 1)

Structure:
```
data_Pm5In2Os
_space_group_name_H-M_alt 'P b a m'
_space_group_IT_number 55
_cell_length_a 7.9469
_cell_length_b 12.4319
_cell_length_c 4.7896
_cell_angle_alpha 90.00
_cell_angle_beta 90.00
_cell_angle_gamma 90.00
loop_
_space_group_symop_operation_xyz
'x,y,z'
'-x,-y,-z'
'-x,-y,z'
'x,y,-z'
'x+1/2,-y+1/2,-z'
'-x+1/2,y+1/2,z'
'-x+1/2,y+1/2,-z'
'x+1/2,-y+1/2,z'
loop_
_atom_site_label
_atom_site_type_symbol
_atom_site_fract_x
_atom_site_fract_y
_atom_site_fract_z
Pm1 Pm 0.0000 0.0000 0.0000
Pm2 Pm 0.1395 0.2971 0.0000
Pm3 Pm 0.1833 0.5699 0.5000
In1 In 0.0748 0.8319 0.5000
Os1 Os 0.0000 0.5000 0.0000
```

[8]
Diffraction record for Pr5In2Os. The PXRD pattern is calculated, not measured: it uses a PBE-relaxed structure and λ = 1.5418 Å (Cu Kα).
Kinematic intensities with the Lorentz-polarization factor, no thermal factor.

Peak list (6 most intense, 5° ≤ 2θ ≤ 70°, by intensity)
- d 3.023, I = 100, (2 1 1)
- d 2.791, I = 98, (2 2 1)
- d 2.419, I = 65, (0 0 2)
- d 1.865, I = 59, (2 6 0)
- d 2.933, I = 53, (1 4 0)
- d 2.636, I = 43, (0 4 1)

Structure:
```
data_Pr5In2Os
_space_group_name_H-M_alt 'P b a m'
_space_group_IT_number 55
_cell_length_a 8.1400
_cell_length_b 12.5763
_cell_length_c 4.8383
_cell_angle_alpha 90.00
_cell_angle_beta 90.00
_cell_angle_gamma 90.00
loop_
_space_group_symop_operation_xyz
'x,y,z'
'-x,-y,-z'
'-x,-y,z'
'x,y,-z'
'x+1/2,-y+1/2,-z'
'-x+1/2,y+1/2,z'
'-x+1/2,y+1/2,-z'
'x+1/2,-y+1/2,z'
loop_
_atom_site_label
_atom_site_type_symbol
_atom_site_fract_x
_atom_site_fract_y
_atom_site_fract_z
Pr1 Pr 0.0000 0.0000 0.0000
Pr2 Pr 0.1402 0.2980 0.0000
Pr3 Pr 0.1836 0.5687 0.5000
In1 In 0.0734 0.8314 0.5000
Os1 Os 0.0000 0.5000 0.0000
```

[9]
Diffraction record for InOsPt. The PXRD pattern is calculated, not measured: it uses a PBE-relaxed structure and λ = 1.5418 Å (Cu Kα).
Kinematic intensities with the Lorentz-polarization factor, no thermal factor.

Peak list (6 most intense, 5° ≤ 2θ ≤ 70°, by intensity)
- d 2.325, I = 100, (1 1 0)
- d 2.358, I = 96, (0 1 3)
- d 2.080, I = 66, (1 0 3)
- d 1.416, I = 41, (1 2 3)
- d 1.934, I = 32, (0 2 0)
- d 8.924, I = 15, (0 0 1)

Structure:
```
data_InOsPt
_space_group_name_H-M_alt 'P m m 2'
_space_group_IT_number 25
_cell_length_a 2.9086
_cell_length_b 3.8685
_cell_length_c 8.9245
_cell_angle_alpha 90.00
_cell_angle_beta 90.00
_cell_angle_gamma 90.00
loop_
_space_group_symop_operation_xyz
'x,y,z'
'-x,-y,z'
'-x,y,z'
'x,-y,z'
loop_
_atom_site_label
_atom_site_type_symbol
_atom_site_fract_x
_atom_site_fract_y
_atom_site_fract_z
In1 In 0.0000 0.0000 0.0000
In2 In 0.0000 0.0000 0.3548
Os1 Os 0.0000 0.0000 0.6637
Os2 Os 0.5000 0.5000 0.5417
Pt1 Pt 0.5000 0.5000 0.1862
Pt2 Pt 0.5000 0.5000 0.8421
```

[10]
Diffraction record for InOs2Rh. The PXRD pattern is calculated, not measured: it uses a PBE-relaxed structure and λ = 1.5418 Å (Cu Kα).
Kinematic intensities with the Lorentz-polarization factor, no thermal factor.

Peak list (6 most intense, 5° ≤ 2θ ≤ 70°, by intensity)
- d 2.277, I = 100, (1 1 0)
- d 2.317, I = 96, (0 1 2)
- d 2.038, I = 66, (1 0 2)
- d 1.390, I = 38, (1 2 2)
- d 5.846, I = 29, (0 0 1)
- d 1.899, I = 29, (0 2 0)

Structure:
```
data_InOs2Rh
_space_group_name_H-M_alt 'P m m 2'
_space_group_IT_number 25
_cell_length_a 2.8442
_cell_length_b 3.7984
_cell_length_c 5.8462
_cell_angle_alpha 90.00
_cell_angle_beta 90.00
_cell_angle_gamma 90.00
loop_
_space_group_symop_operation_xyz
'x,y,z'
'-x,-y,z'
'-x,y,z'
'x,-y,z'
loop_
_atom_site_label
_atom_site_type_symbol
_atom_site_fract_x
_atom_site_fract_y
_atom_site_fract_z
In1 In 0.0000 0.0000 0.0000
Os1 Os 0.0000 0.0000 0.4922
Os2 Os 0.5000 0.5000 0.2978
Rh1 Rh 0.5000 0.5000 0.7582
```

[11]
Diffraction record for Sc5In2OsRh2. The PXRD pattern is calculated, not measured: it uses a PBE-relaxed structure and λ = 1.5418 Å (Cu Kα).
Kinematic intensities with the Lorentz-polarization factor, no thermal factor.

Peak list (6 most intense, 5° ≤ 2θ ≤ 70°, by intensity)
- d 2.391, I = 100, (3 1 1)
- d 3.512, I = 47, (3 1 0)
- d 2.510, I = 22, (2 2 1)
- d 2.693, I = 21, (4 1 0)
- d 2.483, I = 20, (4 2 0)
- d 3.265, I = 18, (0 0 1)

Structure:
```
data_Sc5In2OsRh2
_space_group_name_H-M_alt 'P 4/m b m'
_space_group_IT_number 127
_space_group_name_Hall '-P 4 2ab'
_cell_length_a 11.1055
_cell_length_b 11.1055
_cell_length_c 3.2648
_cell_angle_alpha 90.00
_cell_angle_beta 90.00
_cell_angle_gamma 90.00
loop_
_atom_site_label
_atom_site_type_symbol
_atom_site_fract_x
_atom_site_fract_y
_atom_site_fract_z
Sc1 Sc 0.0000 0.5000 0.0000
Sc2 Sc 0.0642 0.1915 0.0000
In1 In 0.1752 0.6752 0.5000
Os1 Os 0.0000 0.0000 0.5000
Rh1 Rh 0.1340 0.3660 0.5000
```

[12]
Diffraction record for Sc5InOs. The PXRD pattern is calculated, not measured: it uses a PBE-relaxed structure and λ = 1.5418 Å (Cu Kα).
Kinematic intensities with the Lorentz-polarization factor, no thermal factor.

Peak list (6 most intense, 5° ≤ 2θ ≤ 70°, by intensity)
- d 4.141, I = 100, (1 1 -2)
- d 2.547, I = 84, (2 0 -4)
- d 2.637, I = 62, (2 2 0)
- d 2.269, I = 61, (1 3 0)
- d 3.932, I = 53, (2 0 0)
- d 3.505, I = 52, (1 1 2)

Structure:
```
data_Sc5InOs
_space_group_name_H-M_alt 'C 1 2/c 1'
_space_group_IT_number 15
_cell_length_a 8.1148
_cell_length_b 7.1123
_cell_length_c 11.2041
_cell_angle_alpha 90.00
_cell_angle_beta 104.28
_cell_angle_gamma 90.00
loop_
_space_group_symop_operation_xyz
'x,y,z'
'-x,-y,-z'
'-x,y,-z+1/2'
'x,-y,z+1/2'
'x+1/2,y+1/2,z'
'-x+1/2,-y+1/2,-z'
'-x+1/2,y+1/2,-z+1/2'
'x+1/2,-y+1/2,z+1/2'
loop_
_atom_site_label
_atom_site_type_symbol
_atom_site_fract_x
_atom_site_fract_y
_atom_site_fract_z
Sc1 Sc 0.0000 0.0170 0.2500
Sc2 Sc 0.1352 0.3368 0.0699
Sc3 Sc 0.2464 0.3238 0.3780
In1 In 0.0000 0.3912 0.7500
Os1 Os 0.0000 0.0000 0.0000
```